Entry 1:
Structure and theoretical PXRD pattern of Ba4Ge20Au3 (a DFT-relaxed cell (PBE, OQMD); Cu Kα (weighted mean of Kα1 and Kα2)).

Structure:
```
data_Ba4Ge20Au3
_space_group_name_H-M_alt 'P m -3 n'
_space_group_IT_number 223
_space_group_name_Hall '-P 4n 2 3'
_cell_length_a 10.9465
_cell_length_b 10.9465
_cell_length_c 10.9465
_cell_angle_alpha 90.00
_cell_angle_beta 90.00
_cell_angle_gamma 90.00
loop_
_atom_site_label
_atom_site_type_symbol
_atom_site_fract_x
_atom_site_fract_y
_atom_site_fract_z
Ba1 Ba 0.0000 0.0000 0.0000
Ba2 Ba 0.0000 0.2500 0.5000
Ge1 Ge 0.0000 0.3087 0.1167
Ge2 Ge 0.1831 0.1831 0.1831
Au1 Au 0.0000 0.5000 0.2500
```

Peak list (12 most intense, 2θ = 10–80°, by angle)
| d (Å) | Position (°2θ) | I/Imax | hkl |
| --- | --- | --- | --- |
| 4.895 | 18.12 | 19 | 2 1 0 |
| 3.160 | 28.24 | 45 | 2 2 2 |
| 2.926 | 30.56 | 100 | 3 2 1 |
| 2.737 | 32.72 | 23 | 4 0 0 |
| 2.655 | 33.76 | 10 | 4 1 0 |
| 1.935 | 46.96 | 10 | 4 4 0 |
| 1.877 | 48.49 | 35 | 5 3 0 |
| 1.824 | 49.99 | 20 | 6 0 0 |
| 1.776 | 51.46 | 44 | 5 3 2 |
| 1.490 | 62.33 | 12 | 5 5 2 |
| 1.390 | 67.36 | 11 | 6 5 1 |
| 1.224 | 78.09 | 9 | 8 4 0 |


Entry 2:
Structure and theoretical PXRD pattern of GdDyCu2Te4 (a DFT-relaxed cell (PBE, OQMD); Cu Kα (weighted mean of Kα1 and Kα2)).

Structure:
```
data_GdDyCu2Te4
_space_group_name_H-M_alt 'C m m 2'
_space_group_IT_number 35
_cell_length_a 9.7786
_cell_length_b 9.7794
_cell_length_c 4.8087
_cell_angle_alpha 90.00
_cell_angle_beta 90.00
_cell_angle_gamma 90.00
loop_
_space_group_symop_operation_xyz
'x,y,z'
'-x,-y,z'
'-x,y,z'
'x,-y,z'
'x+1/2,y+1/2,z'
'-x+1/2,-y+1/2,z'
'-x+1/2,y+1/2,z'
'x+1/2,-y+1/2,z'
loop_
_atom_site_label
_atom_site_type_symbol
_atom_site_fract_x
_atom_site_fract_y
_atom_site_fract_z
Gd1 Gd 0.0000 0.0000 0.0000
Dy1 Dy 0.0000 0.5000 0.5847
Cu1 Cu 0.2500 0.2500 0.7935
Te1 Te 0.0000 0.3015 0.0635
Te2 Te 0.2009 0.0000 0.5211
```

Peak list (12 most intense, 2θ = 10–80°, by angle)
| d (Å) | Position (°2θ) | I/Imax | hkl |
| --- | --- | --- | --- |
| 4.889 | 18.14 | 29 | 0 2 0 |
| 3.428 | 25.99 | 100 | 0 2 1 |
| 3.092 | 28.87 | 29 | 3 1 0 |
| 2.807 | 31.88 | 22 | 2 2 1 |
| 2.601 | 34.48 | 87 | 1 3 1 |
| 2.445 | 36.76 | 60 | 4 0 0 |
| 2.404 | 37.40 | 18 | 0 0 2 |
| 2.158 | 41.87 | 31 | 0 2 2 |
| 2.078 | 43.54 | 61 | 3 3 1 |
| 1.991 | 45.57 | 16 | 4 2 1 |
| 1.898 | 47.93 | 16 | 3 1 2 |
| 1.241 | 76.84 | 22 | 7 3 1 |


Entry 3:
Structure and theoretical PXRD pattern of LaZrMo2C3 (a DFT-relaxed cell (PBE, OQMD); Cu Kα (weighted mean of Kα1 and Kα2)).

Structure:
```
data_LaZrMo2C3
_space_group_name_H-M_alt 'C 1 m 1'
_space_group_IT_number 8
_cell_length_a 11.3829
_cell_length_b 3.3537
_cell_length_c 5.7372
_cell_angle_alpha 90.00
_cell_angle_beta 107.00
_cell_angle_gamma 90.00
loop_
_space_group_symop_operation_xyz
'x,y,z'
'x,-y,z'
'x+1/2,y+1/2,z'
'x+1/2,-y+1/2,z'
loop_
_atom_site_label
_atom_site_type_symbol
_atom_site_fract_x
_atom_site_fract_y
_atom_site_fract_z
La1 La 0.0000 0.0000 0.0000
Zr1 Zr 0.2725 0.5000 0.3549
Mo1 Mo 0.0466 0.5000 0.5514
Mo2 Mo 0.2425 0.0000 0.7969
C1 C 0.1331 0.0000 0.4326
C2 C 0.1735 0.5000 0.9292
C3 C 0.3868 0.0000 0.6434
```

Peak list (12 most intense, 2θ = 10–80°, by angle)
| d (Å) | Position (°2θ) | I/Imax | hkl |
| --- | --- | --- | --- |
| 2.801 | 31.95 | 47 | 2 0 -2 |
| 2.721 | 32.91 | 40 | 4 0 0 |
| 2.669 | 33.57 | 100 | 1 1 1 |
| 2.435 | 36.92 | 83 | 3 1 -1 |
| 2.204 | 40.94 | 25 | 2 0 2 |
| 1.826 | 49.94 | 11 | 5 1 0 |
| 1.770 | 51.64 | 11 | 6 0 -2 |
| 1.676 | 54.76 | 21 | 0 2 0 |
| 1.651 | 55.68 | 18 | 1 1 -3 |
| 1.618 | 56.91 | 13 | 5 1 1 |
| 1.439 | 64.80 | 12 | 2 2 -2 |
| 1.428 | 65.37 | 11 | 4 2 0 |